No. 1
For LiNi2OF3, a PBE+U-relaxed structure gives the computed XRD peak list in this record (CuKα).

Structural model:
Cell: 10.2164 5.9786 5.0417 Å, 90.00 90.00 90.00°
Space group Pnma (No. 62)
Asymmetric unit:
1 Li 0.0926 0.2500 0.0326 (multiplicity 4)
2 Ni 0.0000 0.0000 0.5000 (multiplicity 4)
3 Ni 0.2414 0.7500 0.0063 (multiplicity 4)
4 O 0.0861 0.2500 0.6699 (multiplicity 4)
5 F 0.0745 0.7500 0.7781 (multiplicity 4)
6 F 0.1697 0.0088 0.2393 (multiplicity 8)

Most intense lines, 2θ = 15–90°, most intense first:
2θ 24.69, I = 100, hkl 1 1 1
2θ 50.62, I = 86, hkl 2 2 2
2θ 19.64, I = 68, hkl 1 0 1
2θ 35.15, I = 47, hkl 4 0 0
2θ 36.02, I = 36, hkl 1 2 1
2θ 31.71, I = 34, hkl 3 0 1
2θ 34.77, I = 33, hkl 2 2 0
2θ 50.90, I = 31, hkl 4 0 2
2θ 62.81, I = 27, hkl 6 2 0
2θ 39.23, I = 22, hkl 2 2 1
2θ 57.64, I = 17, hkl 5 2 1
2θ 62.10, I = 15, hkl 0 4 0

---

No. 2
For NdCoAsO, a PBE+U-relaxed structure gives the computed XRD peak list in this record (CuKα).

Structural model:
Cell: 4.0657 4.0657 8.0663 Å, 90.00 90.00 90.00°
Space group P4/nmm (No. 129, origin choice 2)
Asymmetric unit:
1 Nd 0.2500 0.2500 0.1452 (multiplicity 2)
2 Co 0.2500 0.7500 0.5000 (multiplicity 2)
3 As 0.2500 0.2500 0.6360 (multiplicity 2)
4 O 0.2500 0.7500 0.0000 (multiplicity 2)

Most intense lines, 2θ = 15–90°, most intense first:
2θ 31.24, I = 100, hkl 1 0 2
2θ 55.43, I = 39, hkl 2 1 2
2θ 44.57, I = 36, hkl 2 0 0
2θ 55.68, I = 31, hkl 1 1 4
2θ 31.11, I = 22, hkl 1 1 0
2θ 38.45, I = 19, hkl 1 1 2
2θ 33.08, I = 13, hkl 1 1 1
2θ 73.73, I = 12, hkl 3 0 2
2θ 24.52, I = 12, hkl 1 0 1
2θ 64.87, I = 11, hkl 2 2 0
2θ 33.32, I = 6, hkl 0 0 3
2θ 74.31, I = 5, hkl 1 0 6

---

No. 3
For MnH8Br2O4, a PBE+U-relaxed structure gives the computed XRD peak list in this record (CuKα).

Structural model:
Cell: 6.3341 9.9323 12.4065 Å, 90.00 111.79 90.00°
Space group P2_1/c (No. 14)
Asymmetric unit:
1 Mn 0.2475 0.1682 0.2642 (multiplicity 4)
2 H 0.0019 0.5636 0.6414 (multiplicity 4)
3 H 0.0223 0.2026 0.4165 (multiplicity 4)
4 H 0.1262 0.5635 0.4334 (multiplicity 4)
5 H 0.1753 0.6957 0.2070 (multiplicity 4)
6 H 0.2126 0.5674 0.8882 (multiplicity 4)
7 H 0.4332 0.5210 0.2988 (multiplicity 4)
8 H 0.4723 0.5644 0.8987 (multiplicity 4)
9 H 0.4958 0.6482 0.3779 (multiplicity 4)
10 Br 0.1492 0.1330 0.6102 (multiplicity 4)
11 Br 0.4675 0.6848 0.5585 (multiplicity 4)
12 O 0.0100 0.0345 0.1320 (multiplicity 4)
13 O 0.0192 0.7307 0.1656 (multiplicity 4)
14 O 0.3244 0.5194 0.8643 (multiplicity 4)
15 O 0.4604 0.6187 0.2964 (multiplicity 4)

Most intense lines, 2θ = 15–90°, most intense first:
2θ 19.30, I = 100, hkl 1 1 -2
2θ 29.40, I = 100, hkl 0 2 3
2θ 17.52, I = 59, hkl 1 1 0
2θ 31.17, I = 47, hkl 0 3 2
2θ 28.50, I = 45, hkl 2 0 -2
2θ 33.36, I = 40, hkl 1 3 1
2θ 30.41, I = 36, hkl 1 1 -4
2θ 43.89, I = 36, hkl 2 2 -5
2θ 30.54, I = 34, hkl 1 3 -1
2θ 35.36, I = 31, hkl 2 1 1
2θ 17.86, I = 27, hkl 0 2 0
2θ 29.91, I = 26, hkl 2 1 -2

---

No. 4
For MgMn6O8F4, a PBE+U-relaxed structure gives the computed XRD peak list in this record (CuKα).

Structural model:
Cell: 5.1272 5.7998 7.7067 Å, 83.42 85.33 81.77°
Space group P1 (No. 1)
Asymmetric unit:
1 Mg 0.0000 0.0000 0.0000 (multiplicity 1)
2 Mn 0.0232 0.0141 0.5078 (multiplicity 1)
3 Mn 0.4294 0.4979 0.4910 (multiplicity 1)
4 Mn 0.4873 0.1870 0.8530 (multiplicity 1)
5 Mn 0.5015 0.8419 0.1837 (multiplicity 1)
6 Mn 0.9237 0.6023 0.8062 (multiplicity 1)
7 Mn 0.9924 0.3716 0.1925 (multiplicity 1)
8 O 0.1500 0.3069 0.4114 (multiplicity 1)
9 O 0.2913 0.4767 0.7417 (multiplicity 1)
10 O 0.2984 0.1414 0.0838 (multiplicity 1)
11 O 0.3298 0.8254 0.4146 (multiplicity 1)
12 O 0.6514 0.5321 0.2763 (multiplicity 1)
13 O 0.6832 0.8726 0.9399 (multiplicity 1)
14 O 0.8319 0.3469 0.9662 (multiplicity 1)
15 O 0.8584 0.7545 0.5926 (multiplicity 1)
16 F 0.1604 0.6759 0.0757 (multiplicity 1)
17 F 0.1770 0.0065 0.7612 (multiplicity 1)
18 F 0.6849 0.2199 0.6120 (multiplicity 1)
19 F 0.8340 0.0256 0.2542 (multiplicity 1)

Most intense lines, 2θ = 15–90°, most intense first:
2θ 23.41, I = 100, hkl 1 1 1
2θ 27.46, I = 82, hkl -1 1 1
2θ 34.17, I = 30, hkl 1 1 -2
2θ 34.78, I = 25, hkl 1 -1 2
2θ 34.68, I = 24, hkl 0 2 -1
2θ 35.25, I = 23, hkl 0 0 3
2θ 40.71, I = 20, hkl 1 0 -3
2θ 61.14, I = 19, hkl 0 2 -4
2θ 48.80, I = 19, hkl 1 3 0
2θ 53.70, I = 19, hkl 1 -3 0
2θ 37.45, I = 19, hkl 2 1 1
2θ 54.08, I = 17, hkl -1 1 4

---

No. 5
For CaV4O8, a PBE+U-relaxed structure gives the computed XRD peak list in this record (CuKα).

Structural model:
Cell: 5.9261 5.9261 16.9493 Å, 90.00 90.00 120.00°
Space group R-3m (No. 166, hexagonal axes)
Asymmetric unit:
1 Ca 0.0000 0.0000 0.0000 (multiplicity 3)
2 V 0.0000 0.0000 0.5000 (multiplicity 3)
3 V 0.0000 0.5000 0.5000 (multiplicity 9)
4 O 0.0000 0.0000 0.2262 (multiplicity 6)
5 O 0.0079 0.5039 0.7700 (multiplicity 18)

Most intense lines, 2θ = 15–90°, most intense first:
2θ 15.69, I = 100, hkl 0 0 3
2θ 41.12, I = 64, hkl 0 2 4
2θ 56.31, I = 17, hkl 2 0 8
2θ 51.92, I = 17, hkl 0 2 7
2θ 62.71, I = 16, hkl 2 2 0
2θ 35.38, I = 16, hkl 0 2 1
2θ 18.06, I = 10, hkl 1 0 1
2θ 31.67, I = 10, hkl 0 0 6
2θ 36.59, I = 10, hkl 2 0 2
2θ 65.09, I = 9, hkl 2 2 3
2θ 77.78, I = 7, hkl 4 0 4
2θ 66.09, I = 7, hkl 0 0 12